[1]
Diffraction record for OsO2. The X-ray powder pattern is simulated, not measured: it uses a DFT-relaxed cell (PBE, OQMD) and CuKα.
Intensities are scaled so that the largest is 100.

Most intense lines, 15 to 90 degrees two-theta, sorted by position:
hkl 1 1 0, 2θ 24.4, d = 3.644 Å, I 100
hkl 1 1 1, 2θ 31.1, d = 2.873 Å, I 98
hkl 0 2 1, 2θ 37.4, d = 2.406 Å, I 53
hkl 2 0 0, 2θ 37.6, d = 2.395 Å, I 21
hkl 0 0 2, 2θ 38.6, d = 2.335 Å, I 24
hkl 1 1 2, 2θ 46.2, d = 1.966 Å, I 38
hkl 2 2 1, 2θ 54.0, d = 1.697 Å, I 51
hkl 2 0 2, 2θ 54.9, d = 1.672 Å, I 25
hkl 1 3 1, 2θ 56.3, d = 1.633 Å, I 24
hkl 0 2 3, 2θ 69.0, d = 1.361 Å, I 14

```
data_OsO2
_chemical_formula_sum 'Os4 O8'
_cell_length_a 4.7900
_cell_length_b 5.6150
_cell_length_c 4.6700
_cell_angle_alpha 90.00
_cell_angle_beta 90.00
_cell_angle_gamma 90.00
_symmetry_space_group_name_H-M 'P b c n'
_symmetry_Int_Tables_number 60
loop_
_symmetry_equiv_pos_as_xyz
'x,y,z'
'-x,-y,-z'
'-x+1/2,-y+1/2,z+1/2'
'x+1/2,y+1/2,-z+1/2'
'x+1/2,-y+1/2,-z'
'-x+1/2,y+1/2,z'
'-x,y,-z+1/2'
'x,-y,z+1/2'
loop_
_atom_site_label
_atom_site_fract_x
_atom_site_fract_y
_atom_site_fract_z
Os1 0.0000 0.1196 0.2500
O1 0.2418 0.3670 0.0825
```

---

[2]
Diffraction record for OsO2. The X-ray powder pattern is simulated, not measured: it uses a DFT-relaxed cell (PBE, OQMD) and CuKα.
Intensities are scaled so that the largest is 100.

Most intense lines, 15 to 90 degrees two-theta, sorted by position:
hkl 1 1 0, 2θ 28.1, d = 3.172 Å, I 100
hkl 1 0 1, 2θ 34.4, d = 2.605 Å, I 99
hkl 2 0 0, 2θ 40.2, d = 2.243 Å, I 28
hkl 2 1 1, 2θ 53.9, d = 1.700 Å, I 69
hkl 2 2 0, 2θ 58.2, d = 1.586 Å, I 15
hkl 1 1 2, 2θ 65.3, d = 1.429 Å, I 19
hkl 3 1 0, 2θ 65.8, d = 1.419 Å, I 16
hkl 3 0 1, 2θ 69.4, d = 1.355 Å, I 19
hkl 2 0 2, 2θ 72.6, d = 1.303 Å, I 11
hkl 3 2 1, 2θ 83.3, d = 1.160 Å, I 16

```
data_OsO2
_chemical_formula_sum 'Os2 O4'
_cell_length_a 4.4862
_cell_length_b 4.4862
_cell_length_c 3.2004
_cell_angle_alpha 90.00
_cell_angle_beta 90.00
_cell_angle_gamma 90.00
_symmetry_space_group_name_H-M 'P 42/m n m'
_symmetry_Int_Tables_number 136
_symmetry_space_group_name_Hall '-P 4n 2n'
loop_
_atom_site_label
_atom_site_fract_x
_atom_site_fract_y
_atom_site_fract_z
Os1 0.0000 0.0000 0.0000
O1 0.1915 0.1915 0.5000
```

---

[3]
Diffraction record for Os4O11. The X-ray powder pattern is simulated, not measured: it uses a DFT-relaxed cell (PBE, OQMD) and CuKα.
Intensities are scaled so that the largest is 100.

Most intense lines, 15 to 90 degrees two-theta, sorted by position:
hkl 1 0 1, 2θ 20.1, d = 4.426 Å, I 100
hkl 0 0 2, 2θ 21.0, d = 4.230 Å, I 23
hkl 0 1 -1, 2θ 21.2, d = 4.200 Å, I 44
hkl 1 1 0, 2θ 23.6, d = 3.774 Å, I 30
hkl 1 0 -1, 2θ 23.9, d = 3.725 Å, I 24
hkl 1 1 -2, 2θ 34.8, d = 2.575 Å, I 19
hkl 0 1 3, 2θ 36.1, d = 2.491 Å, I 18
hkl 0 2 0, 2θ 36.3, d = 2.473 Å, I 15
hkl 2 1 -1, 2θ 43.5, d = 2.078 Å, I 16
hkl 1 1 4, 2θ 44.8, d = 2.023 Å, I 14

```
data_Os4O11
_chemical_formula_sum 'Os4 O11'
_cell_length_a 4.7997
_cell_length_b 5.0735
_cell_length_c 8.6717
_cell_angle_alpha 85.17
_cell_angle_beta 77.50
_cell_angle_gamma 77.32
_symmetry_space_group_name_H-M 'P 1'
_symmetry_Int_Tables_number 1
loop_
_symmetry_equiv_pos_as_xyz
'x,y,z'
loop_
_atom_site_label
_atom_site_fract_x
_atom_site_fract_y
_atom_site_fract_z
Os1 0.0000 0.0000 0.0000
Os2 0.1407 0.5452 0.8897
Os3 0.4898 0.4785 0.5479
Os4 0.6328 0.1009 0.3355
O1 0.1457 0.4161 0.6645
O2 0.2496 0.6594 0.0643
O3 0.3206 0.1647 0.9297
O4 0.3648 0.4126 0.3389
O5 0.4853 0.8285 0.4644
O6 0.4986 0.5965 0.7477
O7 0.6436 0.9373 0.1480
O8 0.7802 0.1815 0.5345
O9 0.8201 0.3803 0.9598
O10 0.8904 0.8857 0.8262
O11 0.9897 0.1384 0.2229
```

---

[4]
Diffraction record for Os4O11. The X-ray powder pattern is simulated, not measured: it uses a DFT-relaxed cell (PBE, OQMD) and CuKα.
Intensities are scaled so that the largest is 100.

Most intense lines, 15 to 90 degrees two-theta, sorted by position:
hkl 1 0 1, 2θ 20.0, d = 4.442 Å, I 100
hkl 0 0 2, 2θ 21.4, d = 4.148 Å, I 35
hkl 0 1 -1, 2θ 21.7, d = 4.101 Å, I 29
hkl 1 0 -1, 2θ 23.8, d = 3.744 Å, I 22
hkl 1 1 0, 2θ 24.2, d = 3.684 Å, I 19
hkl 1 0 3, 2θ 34.3, d = 2.614 Å, I 19
hkl 1 1 -2, 2θ 35.5, d = 2.530 Å, I 19
hkl 0 1 3, 2θ 36.8, d = 2.440 Å, I 20
hkl 0 1 -3, 2θ 38.2, d = 2.358 Å, I 23
hkl 2 1 -1, 2θ 43.8, d = 2.066 Å, I 14

```
data_Os4O11
_chemical_formula_sum 'Os4 O11'
_cell_length_a 4.8193
_cell_length_b 4.9118
_cell_length_c 8.4903
_cell_angle_alpha 85.66
_cell_angle_beta 77.94
_cell_angle_gamma 79.13
_symmetry_space_group_name_H-M 'P 1'
_symmetry_Int_Tables_number 1
loop_
_symmetry_equiv_pos_as_xyz
'x,y,z'
loop_
_atom_site_label
_atom_site_fract_x
_atom_site_fract_y
_atom_site_fract_z
Os1 0.0000 0.0000 0.0000
Os2 0.1424 0.5662 0.8541
Os3 0.4390 0.4108 0.4817
Os4 0.6083 0.9567 0.3377
O1 0.1144 0.3555 0.6082
O2 0.2832 0.8079 0.4315
O3 0.3094 0.1836 0.9141
O4 0.3786 0.3302 0.2815
O5 0.4608 0.5906 0.7077
O6 0.6409 0.8604 0.1265
O7 0.7196 0.0817 0.5184
O8 0.7686 0.5802 0.3978
O9 0.8256 0.3850 0.9426
O10 0.8644 0.8832 0.8204
O11 0.9907 0.0558 0.2103
```

---

[5]
Diffraction record for P2OsO7. The X-ray powder pattern is simulated, not measured: it uses a DFT-relaxed cell (PBE, OQMD) and CuKα.
Intensities are scaled so that the largest is 100.

Most intense lines, 15 to 90 degrees two-theta, sorted by position:
hkl 1 1 0, 2θ 17.8, d = 4.979 Å, I 100
hkl 0 0 1, 2θ 20.0, d = 4.440 Å, I 13
hkl 0 2 0, 2θ 22.5, d = 3.952 Å, I 32
hkl 1 1 -1, 2θ 24.6, d = 3.619 Å, I 47
hkl 1 1 1, 2θ 29.0, d = 3.074 Å, I 55
hkl 0 2 1, 2θ 30.3, d = 2.952 Å, I 42
hkl 2 0 -1, 2θ 30.8, d = 2.904 Å, I 33
hkl 2 2 0, 2θ 36.1, d = 2.489 Å, I 20
hkl 1 3 1, 2θ 43.8, d = 2.068 Å, I 17
hkl 3 1 -1, 2θ 44.5, d = 2.035 Å, I 31

```
data_P2OsO7
_chemical_formula_sum 'P4 Os2 O14'
_cell_length_a 6.5560
_cell_length_b 7.9037
_cell_length_c 4.5404
_cell_angle_alpha 90.00
_cell_angle_beta 102.10
_cell_angle_gamma 90.00
_symmetry_space_group_name_H-M 'C 1 2 1'
_symmetry_Int_Tables_number 5
loop_
_symmetry_equiv_pos_as_xyz
'x,y,z'
'-x,y,-z'
'x+1/2,y+1/2,z'
'-x+1/2,y+1/2,-z'
loop_
_atom_site_label
_atom_site_fract_x
_atom_site_fract_y
_atom_site_fract_z
P1 0.2028 0.0000 0.4139
Os1 0.0000 0.3495 0.0000
O1 0.0000 0.9185 0.5000
O2 0.1357 0.5260 0.2899
O3 0.1542 0.1729 0.2760
O4 0.2428 0.3656 0.8024
```

---

[6]
Diffraction record for RbPOsO. The X-ray powder pattern is simulated, not measured: it uses a DFT-relaxed cell (PBE, OQMD) and CuKα.
Intensities are scaled so that the largest is 100.

Most intense lines, 15 to 90 degrees two-theta, sorted by position:
hkl 0 2 1, 2θ 26.3, d = 3.394 Å, I 100
hkl 1 1 0, 2θ 27.1, d = 3.286 Å, I 83
hkl 0 0 2, 2θ 27.5, d = 3.243 Å, I 57
hkl 1 1 1, 2θ 30.5, d = 2.931 Å, I 44
hkl 1 2 0, 2θ 33.5, d = 2.674 Å, I 31
hkl 1 1 2, 2θ 39.0, d = 2.308 Å, I 42
hkl 1 3 1, 2θ 44.6, d = 2.031 Å, I 39
hkl 2 0 0, 2θ 50.6, d = 1.804 Å, I 25
hkl 1 4 1, 2θ 54.5, d = 1.683 Å, I 47
hkl 2 2 1, 2θ 57.9, d = 1.593 Å, I 27

```
data_RbPOsO
_chemical_formula_sum 'Rb2 P2 Os2 O2'
_cell_length_a 3.6072
_cell_length_b 7.9649
_cell_length_c 6.4858
_cell_angle_alpha 90.00
_cell_angle_beta 90.00
_cell_angle_gamma 90.00
_symmetry_space_group_name_H-M 'P m c 21'
_symmetry_Int_Tables_number 26
loop_
_symmetry_equiv_pos_as_xyz
'x,y,z'
'-x,-y,z+1/2'
'-x,y,z'
'x,-y,z+1/2'
loop_
_atom_site_label
_atom_site_fract_x
_atom_site_fract_y
_atom_site_fract_z
Rb1 0.0000 0.1677 0.0000
P1 0.0000 0.2657 0.4960
Os1 0.5000 0.4167 0.5829
O1 0.5000 0.4006 0.8829
```

---

[7]
Diffraction record for TbOsPb2O6. The X-ray powder pattern is simulated, not measured: it uses a DFT-relaxed cell (PBE, OQMD) and CuKα.
Intensities are scaled so that the largest is 100.

Most intense lines, 15 to 90 degrees two-theta, sorted by position:
hkl 1 1 2, 2θ 30.5, d = 2.934 Å, I 100
hkl 2 0 0, 2θ 30.8, d = 2.903 Å, I 52
hkl 0 0 4, 2θ 43.1, d = 2.097 Å, I 14
hkl 2 2 0, 2θ 44.1, d = 2.052 Å, I 24
hkl 2 0 4, 2θ 53.9, d = 1.700 Å, I 22
hkl 3 1 2, 2θ 54.6, d = 1.682 Å, I 44
hkl 2 2 4, 2θ 63.4, d = 1.467 Å, I 16
hkl 3 1 6, 2θ 87.8, d = 1.112 Å, I 12
hkl 2 4 4, 2θ 88.6, d = 1.104 Å, I 13
hkl 1 5 2, 2θ 89.1, d = 1.099 Å, I 11

```
data_TbOsPb2O6
_chemical_formula_sum 'Tb2 Os2 Pb4 O12'
_cell_length_a 5.8051
_cell_length_b 5.8051
_cell_length_c 8.3885
_cell_angle_alpha 90.00
_cell_angle_beta 90.00
_cell_angle_gamma 90.00
_symmetry_space_group_name_H-M 'I 4/m'
_symmetry_Int_Tables_number 87
_symmetry_space_group_name_Hall '-I 4'
loop_
_atom_site_label
_atom_site_fract_x
_atom_site_fract_y
_atom_site_fract_z
Tb1 0.0000 0.0000 0.0000
Os1 0.0000 0.0000 0.5000
Pb1 0.0000 0.5000 0.2500
O1 0.0000 0.0000 0.2657
O2 0.1743 0.7093 0.5000
```

---

[8]
Diffraction record for OsPdO3. The X-ray powder pattern is simulated, not measured: it uses a DFT-relaxed cell (PBE, OQMD) and CuKα.
Intensities are scaled so that the largest is 100.

Most intense lines, 15 to 90 degrees two-theta, sorted by position:
hkl 1 0 1, 2θ 23.3, d = 3.823 Å, I 12
hkl 2 0 0, 2θ 32.1, d = 2.788 Å, I 33
hkl 1 2 1, 2θ 33.7, d = 2.663 Å, I 100
hkl 0 0 2, 2θ 34.2, d = 2.625 Å, I 27
hkl 2 0 2, 2θ 47.6, d = 1.911 Å, I 25
hkl 0 4 0, 2θ 49.1, d = 1.856 Å, I 13
hkl 3 2 1, 2θ 58.2, d = 1.584 Å, I 25
hkl 2 4 0, 2θ 59.9, d = 1.545 Å, I 11
hkl 1 2 3, 2θ 60.8, d = 1.523 Å, I 22
hkl 2 4 2, 2θ 70.8, d = 1.332 Å, I 15

```
data_OsPdO3
_chemical_formula_sum 'Os4 Pd4 O12'
_cell_length_a 5.5757
_cell_length_b 7.4250
_cell_length_c 5.2506
_cell_angle_alpha 90.00
_cell_angle_beta 90.00
_cell_angle_gamma 90.00
_symmetry_space_group_name_H-M 'P n m a'
_symmetry_Int_Tables_number 62
loop_
_symmetry_equiv_pos_as_xyz
'x,y,z'
'-x,-y,-z'
'-x+1/2,-y,z+1/2'
'x+1/2,y,-z+1/2'
'x+1/2,-y+1/2,-z+1/2'
'-x+1/2,y+1/2,z+1/2'
'-x,y+1/2,-z'
'x,-y+1/2,z'
loop_
_atom_site_label
_atom_site_fract_x
_atom_site_fract_y
_atom_site_fract_z
Os1 0.0000 0.0000 0.0000
Pd1 0.0006 0.2500 0.4896
O1 0.0176 0.7500 0.0691
O2 0.1749 0.5215 0.6632
```